Entry 1:
SrIn2Te4: calculated powder diffraction line list (Cu Ka), based on a cell relaxed with PBE.

```
data_SrIn2Te4
_space_group_name_H-M_alt 'I 4/m'
_space_group_IT_number 87
_space_group_name_Hall '-I 4'
_cell_length_a 8.825
_cell_length_b 8.825
_cell_length_c 7.228
_cell_angle_alpha 90.00
_cell_angle_beta 90.00
_cell_angle_gamma 90.00
loop_
_atom_site_label
_atom_site_fract_x
_atom_site_fract_y
_atom_site_fract_z
_atom_site_occupancy
Sr1 0.000 0.000 0.000 1
In1 0.000 0.500 0.250 1
Te1 0.169 0.316 0.500 1
```

The 10 most intense peaks (2θ = 5–70°), most intense first:
25.7 deg, I 100, (2 1 1); 40.9 deg, I 63, (1 3 2); 44.1 deg, I 53, (1 4 1); 28.6 deg, I 49, (2 2 0); 14.2 deg, I 43, (1 1 0); 32.0 deg, I 42, (2 0 2); 67.0 deg, I 22, (3 5 2); 57.6 deg, I 19, (1 4 3); 43.5 deg, I 17, (3 3 0); 46.0 deg, I 12, (4 2 0)


Entry 2:
Tb3In: calculated powder diffraction line list (Cu Ka), based on a cell relaxed with PBE.

```
data_Tb3In
_space_group_name_H-M_alt 'P 63/m m c'
_space_group_IT_number 194
_space_group_name_Hall '-P 6c 2c'
_cell_length_a 6.9464
_cell_length_b 6.9464
_cell_length_c 5.5270
_cell_angle_alpha 90.00
_cell_angle_beta 90.00
_cell_angle_gamma 120.00
loop_
_atom_site_label
_atom_site_fract_x
_atom_site_fract_y
_atom_site_fract_z
_atom_site_occupancy
Tb1 0.1726 0.3453 0.2500 1
In1 0.3333 0.6667 0.7500 1
```

The 10 most intense peaks (2θ = 5–70°), most intense first:
33.9 deg, I 100, (2 0 1); 32.4 deg, I 25, (0 0 2); 29.7 deg, I 24, (2 0 0); 63.2 deg, I 21, (2 2 2); 58.8 deg, I 21, (2 0 3); 52.7 deg, I 19, (2 2 0); 44.5 deg, I 16, (2 0 2); 64.2 deg, I 15, (4 0 1); 67.8 deg, I 3, (0 0 4); 61.7 deg, I 3, (4 0 0)


Entry 3:
Tb2In: calculated powder diffraction line list (Cu Ka), based on a cell relaxed with PBE.

```
data_Tb2In
_space_group_name_H-M_alt 'P 63/m m c'
_space_group_IT_number 194
_space_group_name_Hall '-P 6c 2c'
_cell_length_a 5.4246
_cell_length_b 5.4246
_cell_length_c 6.7615
_cell_angle_alpha 90.00
_cell_angle_beta 90.00
_cell_angle_gamma 120.00
loop_
_atom_site_label
_atom_site_fract_x
_atom_site_fract_y
_atom_site_fract_z
_atom_site_occupancy
Tb1 0.0000 0.0000 0.0000 1
Tb2 0.3333 0.6667 0.2500 1
In1 0.3333 0.6667 0.7500 1
```

The 10 most intense peaks (2θ = 5–70°), most intense first:
33.0 deg, I 100, (1 1 0); 32.6 deg, I 96, (1 0 2); 58.7 deg, I 36, (2 1 2); 47.1 deg, I 34, (2 0 2); 65.0 deg, I 28, (1 1 4); 59.0 deg, I 19, (3 0 0); 69.3 deg, I 12, (2 2 0); 54.3 deg, I 8, (0 0 4); 42.7 deg, I 7, (1 1 2); 26.4 deg, I 4, (0 0 2)


Entry 4:
TbTmIn2: calculated powder diffraction line list (Cu Ka), based on a cell relaxed with PBE.

```
data_TbTmIn2
_space_group_name_H-M_alt 'F m -3 m'
_space_group_IT_number 225
_space_group_name_Hall '-F 4 2 3'
_cell_length_a 7.487
_cell_length_b 7.487
_cell_length_c 7.487
_cell_angle_alpha 90.00
_cell_angle_beta 90.00
_cell_angle_gamma 90.00
loop_
_atom_site_label
_atom_site_fract_x
_atom_site_fract_y
_atom_site_fract_z
_atom_site_occupancy
Tb1 0.000 0.000 0.000 1
Tm1 0.000 0.000 0.500 1
In1 0.250 0.250 0.250 1
```

The 6 most intense peaks (2θ = 5–70°), most intense first:
33.9 deg, I 100, (2 2 0); 60.6 deg, I 37, (4 2 2); 48.6 deg, I 18, (4 0 0); 23.8 deg, I 3, (2 0 0); 54.8 deg, I 2, (4 2 0); 41.8 deg, I 1, (2 2 2)